Theoretical X-ray diffraction stick pattern
Compound: AgSbTe2
Radiation: λ = 1.5418 Å (Cu Kα)
Structure: a DFT-relaxed cell (GGA-PBE, Alexandria)
Lines closer than 0.1° are merged.

Atomic structure:
```
data_AgSbTe2
_cell_length_a 3.2107
_cell_length_b 4.2789
_cell_length_c 8.4575
_cell_angle_alpha 90.00
_cell_angle_beta 93.88
_cell_angle_gamma 90.00
_symmetry_space_group_name_H-M 'P 1 2/m 1'
_symmetry_Int_Tables_number 10
loop_
_symmetry_equiv_pos_as_xyz
'x,y,z'
'-x,-y,-z'
'-x,y,-z'
'x,-y,z'
loop_
_atom_site_label
_atom_site_type_symbol
_atom_site_fract_x
_atom_site_fract_y
_atom_site_fract_z
_atom_site_occupancy
Ag1 Ag 0.0000 0.0000 0.0000 1
Sb1 Sb 0.0000 0.0000 0.5000 1
Te1 Te 0.0461 0.5000 0.7687 1
```

Main lines, in order of rising 2θ (15° ≤ 2θ ≤ 90°):
h k l	2theta	Rel. int.
1 0 0	27.85	58
0 1 2	29.74	100
1 1 -2	40.15	45
0 2 0	42.23	53
0 0 4	42.87	17
1 0 -4	50.14	12
1 2 0	51.36	21
0 2 4	61.76	11
1 2 -4	67.59	16
0 1 6	70.50	12